For NbMoPt4, a cell relaxed with PBE gives the theoretical powder X-ray diffraction pattern in this record (λ = 1.5418 Å (Cu Kα)).
No peak broadening, texture or thermal motion is included.

Most intense lines, 10 to 90 degrees two-theta, low angle first:
| 2theta | d/Å | intensity | (hkl) |
| --- | --- | --- | --- |
| 24.78 | 3.594 | 14 | 0 1 1 |
| 39.19 | 2.299 | 100 | 0 1 3 |
| 39.42 | 2.286 | 99 | 1 1 0 |
| 45.70 | 1.985 | 97 | 0 2 0 |
| 66.63 | 1.404 | 42 | 1 2 3 |
| 79.96 | 1.200 | 25 | 1 1 6 |
| 80.12 | 1.198 | 13 | 0 3 3 |
| 80.26 | 1.196 | 13 | 1 3 0 |
| 80.39 | 1.195 | 25 | 2 1 3 |
| 84.82 | 1.143 | 11 | 2 2 0 |

Cell and atoms:
```
6
Lattice="2.796 0.000 0.000 0.000 3.970 0.000 0.000 0.000 8.457" Properties=species:S:1:pos:R:3 pbc="T T T"
Nb 0.000 0.000 0.000
Mo 1.398 1.985 4.229
Pt 0.000 0.000 2.865
Pt 0.000 0.000 5.593
Pt 1.398 1.985 1.406
Pt 1.398 1.985 7.051
```